This entry pairs a crystal structure of RbSc2Au2 with its computed X-ray powder pattern. Radiation: λ = 1.5418 Å (Cu Kα). Structure: DFT lattice parameters and positions (PBE).
No peak broadening, texture or thermal motion is included.

Structural model:
```
10
Lattice="8.643 0.000 0.000 0.000 8.643 0.000 0.000 0.000 3.311" Properties=species:S:1:pos:R:3 pbc="T T T"
Rb 0.000 0.000 0.000
Rb 4.322 4.322 0.000
Sc 1.173 3.148 1.656
Sc 3.148 7.470 1.656
Sc 5.495 1.173 1.656
Sc 7.470 5.495 1.656
Au 1.245 5.566 0.000
Au 3.077 1.245 0.000
Au 5.566 7.399 0.000
Au 7.399 3.077 0.000
```

Top 10 peaks for 2θ = 10–90°, in order of falling intensity:
two_theta, d/Å, I_rel
35.7, 2.515, 100
23.0, 3.865, 59
32.8, 2.733, 59
42.9, 2.108, 30
26.9, 3.311, 29
64.5, 1.444, 27
14.5, 6.112, 17
66.0, 1.416, 15
46.8, 1.942, 15
41.8, 2.161, 15